Diffraction record for MnV3Sb2P6O24. The powder XRD pattern is simulated, not measured: it uses DFT lattice parameters and positions (GGA+U) and λ = 1.5418 Å (Cu Kα).
No peak broadening, texture or thermal motion is included.

Most intense lines, 2θ = 10–90°, low angle first:
| 2θ/deg | I (rel.) |
| --- | --- |
| 14.2 | 26 |
| 20.3 | 100 |
| 23.7 | 70 |
| 24.9 | 32 |
| 31.9 | 96 |
| 35.6 | 40 |
| 45.9 | 30 |
| 48.6 | 35 |
| 55.7 | 26 |
| 61.6 | 25 |

Structure:
Lattice parameters (Å, degrees): 8.8824 8.8824 8.8824 58.92 58.92 58.92
Positions (direct):
Mn  0.0000  0.0000  0.0000
V  0.2955  0.2955  0.2955
V  0.5018  0.5018  0.5018
V  0.7973  0.7973  0.7973
Sb  0.1454  0.1454  0.1454
Sb  0.6474  0.6474  0.6474
P  0.1110  0.6874  0.4040
P  0.1930  0.6059  0.9003
P  0.4040  0.1110  0.6874
P  0.6059  0.9003  0.1930
P  0.6874  0.4040  0.1110
P  0.9003  0.1930  0.6059
O  0.0341  0.6421  0.8482
O  0.0634  0.2154  0.4128
O  0.0969  0.8800  0.2418
O  0.1443  0.5335  0.3496
O  0.1743  0.7560  0.9472
O  0.2154  0.4128  0.0634
O  0.2418  0.0969  0.8800
O  0.2668  0.6463  0.4644
O  0.3496  0.1443  0.5335
O  0.3859  0.5799  0.7298
O  0.4128  0.0634  0.2154
O  0.4644  0.2668  0.6463
O  0.5335  0.3496  0.1443
O  0.5696  0.9187  0.7091
O  0.5799  0.7298  0.3859
O  0.6421  0.8482  0.0341
O  0.6463  0.4644  0.2668
O  0.7091  0.5696  0.9187
O  0.7298  0.3859  0.5799
O  0.7560  0.9472  0.1743
O  0.8482  0.0341  0.6421
O  0.8800  0.2418  0.0969
O  0.9187  0.7091  0.5696
O  0.9472  0.1743  0.7560